The following is a computed X-ray diffraction stick pattern of CdCl4. It was derived from a crystal structure in OQMD, relaxed with PBE, using a wavelength of 1.5418 Å.
Peak positions follow from Bragg's law for the DFT cell and can differ from measured ones.

Atomic structure:
```
data_CdCl4
_chemical_formula_sum 'Cd2 Cl8'
_cell_length_a 7.931
_cell_length_b 7.931
_cell_length_c 6.825
_cell_angle_alpha 90.00
_cell_angle_beta 90.00
_cell_angle_gamma 135.16
_space_group_name_H-M_alt 'P 1'
_space_group_IT_number 1
loop_
_space_group_symop_operation_xyz
'x,y,z'
loop_
_atom_site_label
_atom_site_type_symbol
_atom_site_fract_x
_atom_site_fract_y
_atom_site_fract_z
Cd1 Cd 0.000 0.000 0.250
Cd2 Cd 0.000 0.000 0.750
Cl1 Cl 0.145 0.310 0.500
Cl2 Cl 0.167 0.572 0.000
Cl3 Cl 0.310 0.145 0.000
Cl4 Cl 0.428 0.833 0.500
Cl5 Cl 0.572 0.167 0.500
Cl6 Cl 0.690 0.855 0.000
Cl7 Cl 0.833 0.428 0.000
Cl8 Cl 0.855 0.690 0.500
```

The 10 most intense peaks (5 to 70 degrees two-theta), by intensity:
15.85 deg, I 100
23.40 deg, I 83
12.07 deg, I 62
26.84 deg, I 56
30.69 deg, I 50
28.86 deg, I 39
43.34 deg, I 38
41.76 deg, I 30
39.83 deg, I 29
38.59 deg, I 19

The following is a computed X-ray diffraction stick pattern of CdCl2. It was derived from a crystal structure in OQMD, relaxed with PBE, using a wavelength of 1.5418 Å.
Peak positions follow from Bragg's law for the DFT cell and can differ from measured ones.

Atomic structure:
```
data_CdCl2
_chemical_formula_sum 'Cd4 Cl8'
_cell_length_a 7.831
_cell_length_b 6.275
_cell_length_c 6.459
_cell_angle_alpha 90.00
_cell_angle_beta 90.00
_cell_angle_gamma 90.00
_space_group_name_H-M_alt 'P 1'
_space_group_IT_number 1
loop_
_space_group_symop_operation_xyz
'x,y,z'
loop_
_atom_site_label
_atom_site_type_symbol
_atom_site_fract_x
_atom_site_fract_y
_atom_site_fract_z
Cd1 Cd 0.250 0.159 0.000
Cd2 Cd 0.250 0.659 0.500
Cd3 Cd 0.750 0.341 0.500
Cd4 Cd 0.750 0.841 0.000
Cl1 Cl 0.000 0.000 0.196
Cl2 Cl 0.000 0.500 0.696
Cl3 Cl 0.250 0.037 0.634
Cl4 Cl 0.250 0.537 0.134
Cl5 Cl 0.500 0.000 0.196
Cl6 Cl 0.500 0.500 0.696
Cl7 Cl 0.750 0.463 0.134
Cl8 Cl 0.750 0.963 0.634
```

The 10 most intense peaks (5 to 70 degrees two-theta), by intensity:
22.77 deg, I 100
30.70 deg, I 30
36.05 deg, I 25
51.51 deg, I 21
41.76 deg, I 19
30.25 deg, I 19
39.93 deg, I 16
19.72 deg, I 16
27.62 deg, I 14
46.05 deg, I 14

The following is a computed X-ray diffraction stick pattern of CdCl2. It was derived from a crystal structure in OQMD, relaxed with PBE, using a wavelength of 1.5418 Å.
Peak positions follow from Bragg's law for the DFT cell and can differ from measured ones.

Atomic structure:
```
data_CdCl2
_chemical_formula_sum 'Cd2 Cl4'
_cell_length_a 6.777
_cell_length_b 3.838
_cell_length_c 6.480
_cell_angle_alpha 90.00
_cell_angle_beta 114.59
_cell_angle_gamma 90.00
_space_group_name_H-M_alt 'P 1'
_space_group_IT_number 1
loop_
_space_group_symop_operation_xyz
'x,y,z'
loop_
_atom_site_label
_atom_site_type_symbol
_atom_site_fract_x
_atom_site_fract_y
_atom_site_fract_z
Cd1 Cd 0.000 0.000 0.000
Cd2 Cd 0.500 0.500 0.000
Cl1 Cl 0.238 0.000 0.756
Cl2 Cl 0.262 0.500 0.244
Cl3 Cl 0.738 0.500 0.756
Cl4 Cl 0.762 0.000 0.244
```

The 10 most intense peaks (5 to 70 degrees two-theta), by intensity:
15.04 deg, I 100
34.26 deg, I 67
27.38 deg, I 51
32.13 deg, I 39
46.76 deg, I 25
48.58 deg, I 23
26.49 deg, I 19
36.34 deg, I 18
48.39 deg, I 13
58.40 deg, I 13

The following is a computed X-ray diffraction stick pattern of CdCl2. It was derived from a crystal structure in OQMD, relaxed with PBE, using a wavelength of 1.5418 Å.
Peak positions follow from Bragg's law for the DFT cell and can differ from measured ones.

Atomic structure:
```
data_CdCl2
_chemical_formula_sum 'Cd4 Cl8'
_cell_length_a 7.694
_cell_length_b 7.694
_cell_length_c 7.694
_cell_angle_alpha 60.00
_cell_angle_beta 60.00
_cell_angle_gamma 60.00
_space_group_name_H-M_alt 'P 1'
_space_group_IT_number 1
loop_
_space_group_symop_operation_xyz
'x,y,z'
loop_
_atom_site_label
_atom_site_type_symbol
_atom_site_fract_x
_atom_site_fract_y
_atom_site_fract_z
Cd1 Cd 0.000 0.000 0.000
Cd2 Cd 0.000 0.000 0.500
Cd3 Cd 0.000 0.500 0.000
Cd4 Cd 0.500 0.000 0.000
Cl1 Cl 0.235 0.755 0.755
Cl2 Cl 0.245 0.245 0.245
Cl3 Cl 0.245 0.245 0.765
Cl4 Cl 0.245 0.765 0.245
Cl5 Cl 0.755 0.235 0.755
Cl6 Cl 0.755 0.755 0.235
Cl7 Cl 0.755 0.755 0.755
Cl8 Cl 0.765 0.245 0.245
```

The 10 most intense peaks (5 to 70 degrees two-theta), by intensity:
14.10 deg, I 100
32.92 deg, I 90
47.25 deg, I 60
27.18 deg, I 54
43.20 deg, I 24
49.56 deg, I 23
35.98 deg, I 22
58.79 deg, I 20
60.79 deg, I 12
65.94 deg, I 11

The following is a computed X-ray diffraction stick pattern of CdCl2. It was derived from a crystal structure in OQMD, relaxed with PBE, using a wavelength of 1.5418 Å.
Peak positions follow from Bragg's law for the DFT cell and can differ from measured ones.

Atomic structure:
```
data_CdCl2
_chemical_formula_sum 'Cd1 Cl2'
_cell_length_a 4.096
_cell_length_b 4.096
_cell_length_c 5.009
_cell_angle_alpha 90.00
_cell_angle_beta 90.00
_cell_angle_gamma 90.00
_space_group_name_H-M_alt 'P 1'
_space_group_IT_number 1
loop_
_space_group_symop_operation_xyz
'x,y,z'
loop_
_atom_site_label
_atom_site_type_symbol
_atom_site_fract_x
_atom_site_fract_y
_atom_site_fract_z
Cd1 Cd 0.000 0.000 0.000
Cl1 Cl 0.000 0.500 0.715
Cl2 Cl 0.500 0.000 0.285
```

The 10 most intense peaks (5 to 70 degrees two-theta), by intensity:
28.14 deg, I 100
21.69 deg, I 68
35.81 deg, I 51
48.01 deg, I 49
17.71 deg, I 40
53.24 deg, I 30
44.22 deg, I 26
42.30 deg, I 25
62.85 deg, I 15
49.77 deg, I 14